[1]
Structure and theoretical PXRD pattern of U2SnPt2 (a DFT-relaxed cell (GGA-PBE, the Materials Project); Cu Kα X-rays).

Atomic structure:
abc: 7.746 7.746 7.316
angles: 90.00 90.00 90.00
Atoms (fractional coordinates):
U 0.154 0.154 0.000
U 0.187 0.187 0.500
U 0.313 0.687 0.000
U 0.346 0.654 0.500
U 0.654 0.346 0.500
U 0.687 0.313 0.000
U 0.813 0.813 0.500
U 0.846 0.846 0.000
Sn 0.000 0.500 0.250
Sn 0.000 0.500 0.750
Sn 0.500 0.000 0.250
Sn 0.500 0.000 0.750
Pt 0.131 0.869 0.281
Pt 0.131 0.869 0.719
Pt 0.369 0.369 0.219
Pt 0.369 0.369 0.781
Pt 0.631 0.631 0.219
Pt 0.631 0.631 0.781
Pt 0.869 0.131 0.281
Pt 0.869 0.131 0.719

Main lines, by angle (2θ = 10–90°):
- d 5.477, I = 12.8
- d 2.659, I = 19.2
- d 2.515, I = 100.0
- d 2.450, I = 38.7
- d 2.324, I = 9.5
- d 1.828, I = 18.4
- d 1.671, I = 12.5
- d 1.466, I = 12.9
- d 1.339, I = 13.8
- d 1.292, I = 7.3

[2]
Structure and theoretical PXRD pattern of U2SnPt2 (a DFT-relaxed cell (GGA-PBE, the Materials Project); Cu Kα X-rays).

Atomic structure:
abc: 7.680 7.680 3.733
angles: 90.00 90.00 90.00
Atoms (fractional coordinates):
U 0.132 0.368 0.000
U 0.368 0.868 0.000
U 0.632 0.132 0.000
U 0.868 0.632 0.000
Sn 0.000 0.000 0.500
Sn 0.500 0.500 0.500
Pt 0.169 0.669 0.500
Pt 0.331 0.169 0.500
Pt 0.669 0.831 0.500
Pt 0.831 0.331 0.500

Main lines, by angle (2θ = 10–90°):
- d 5.431, I = 13.4
- d 3.076, I = 12.5
- d 2.527, I = 100.0
- d 2.429, I = 35.7
- d 1.866, I = 12.5
- d 1.667, I = 9.4
- d 1.480, I = 15.9
- d 1.332, I = 15.8
- d 1.242, I = 8.4
- d 1.170, I = 9.7

[3]
Structure and theoretical PXRD pattern of YSnPt2 (a DFT-relaxed cell (GGA-PBE, the Materials Project); Cu Kα X-rays).

Atomic structure:
abc: 4.839 4.839 8.287
angles: 90.00 90.00 120.00
Atoms (fractional coordinates):
Y 0.000 0.000 0.000
Y 0.000 0.000 0.500
Sn 0.333 0.667 0.250
Sn 0.667 0.333 0.750
Pt 0.333 0.667 0.587
Pt 0.333 0.667 0.913
Pt 0.667 0.333 0.087
Pt 0.667 0.333 0.413

Main lines, by angle (2θ = 10–90°):
- d 4.191, I = 29.4
- d 4.143, I = 8.2
- d 2.420, I = 100.0
- d 2.306, I = 93.9
- d 1.669, I = 35.4
- d 1.397, I = 18.2
- d 1.374, I = 37.5
- d 1.312, I = 9.6
- d 1.210, I = 11.5
- d 1.199, I = 11.2

[4]
Structure and theoretical PXRD pattern of YSnPt2 (a DFT-relaxed cell (GGA-PBE, the Materials Project); Cu Kα X-rays).

Atomic structure:
abc: 4.558 4.558 9.172
angles: 90.00 90.00 120.00
Atoms (fractional coordinates):
Y 0.333 0.667 0.250
Y 0.667 0.333 0.750
Sn 0.000 0.000 0.000
Sn 0.000 0.000 0.500
Pt 0.333 0.667 0.591
Pt 0.333 0.667 0.909
Pt 0.667 0.333 0.091
Pt 0.667 0.333 0.409

Main lines, by angle (2θ = 10–90°):
- d 4.586, I = 18.2
- d 3.947, I = 14.7
- d 3.626, I = 17.1
- d 2.417, I = 100.0
- d 2.279, I = 90.6
- d 1.983, I = 13.9
- d 1.658, I = 31.9
- d 1.425, I = 14.6
- d 1.341, I = 31.5
- d 1.316, I = 16.0

[5]
Structure and theoretical PXRD pattern of Sr4Pt (a DFT-relaxed cell (GGA-PBE, the Materials Project); Cu Kα X-rays).

Atomic structure:
abc: 8.924 8.924 8.924
angles: 60.00 60.00 60.00
Atoms (fractional coordinates):
Sr 0.236 0.755 0.755
Sr 0.245 0.245 0.245
Sr 0.245 0.245 0.764
Sr 0.245 0.764 0.245
Sr 0.755 0.236 0.755
Sr 0.755 0.755 0.236
Sr 0.755 0.755 0.755
Sr 0.764 0.245 0.245
Pt 0.375 0.375 0.375
Pt 0.625 0.625 0.625

Main lines, by angle (2θ = 10–90°):
- d 7.286, I = 55.2
- d 4.462, I = 71.7
- d 3.805, I = 44.7
- d 3.643, I = 100.0
- d 2.895, I = 34.2
- d 2.576, I = 34.9
- d 2.429, I = 26.1
- d 2.231, I = 93.1
- d 1.903, I = 46.8
- d 1.288, I = 31.0

[6]
Structure and theoretical PXRD pattern of Sr5Pt4 (a DFT-relaxed cell (GGA-PBE, the Materials Project); Cu Kα X-rays).

Atomic structure:
abc: 7.896 15.734 8.223
angles: 90.00 90.00 90.00
Atoms (fractional coordinates):
Sr 0.001 0.095 0.181
Sr 0.001 0.405 0.181
Sr 0.157 0.121 0.672
Sr 0.157 0.379 0.672
Sr 0.184 0.750 0.513
Sr 0.316 0.250 0.013
Sr 0.343 0.621 0.172
Sr 0.343 0.879 0.172
Sr 0.499 0.595 0.681
Sr 0.499 0.905 0.681
Sr 0.501 0.095 0.319
Sr 0.501 0.405 0.319
Sr 0.657 0.121 0.828
Sr 0.657 0.379 0.828
Sr 0.684 0.750 0.987
Sr 0.816 0.250 0.487
Sr 0.843 0.621 0.328
Sr 0.843 0.879 0.328
Sr 0.999 0.595 0.819
Sr 0.999 0.905 0.819
Pt 0.052 0.750 0.101
Pt 0.168 0.539 0.470
Pt 0.168 0.961 0.470
Pt 0.202 0.250 0.369
Pt 0.298 0.750 0.869
Pt 0.332 0.039 0.970
Pt 0.332 0.461 0.970
Pt 0.448 0.250 0.601
Pt 0.552 0.750 0.399
Pt 0.668 0.539 0.030
Pt 0.668 0.961 0.030
Pt 0.702 0.250 0.131
Pt 0.798 0.750 0.631
Pt 0.832 0.039 0.530
Pt 0.832 0.461 0.530
Pt 0.948 0.250 0.899

Main lines, by angle (2θ = 10–90°):
- d 4.613, I = 55.2
- d 3.858, I = 57.0
- d 2.994, I = 100.0
- d 2.945, I = 83.1
- d 2.844, I = 62.9
- d 2.675, I = 42.4
- d 2.555, I = 48.7
- d 2.507, I = 96.1
- d 2.113, I = 41.2
- d 2.091, I = 36.3

[7]
Structure and theoretical PXRD pattern of SrPt5 (a DFT-relaxed cell (GGA-PBE, the Materials Project); Cu Kα X-rays).

Atomic structure:
abc: 5.501 5.501 4.397
angles: 90.00 90.00 120.00
Atoms (fractional coordinates):
Sr 0.000 0.000 0.000
Pt 0.000 0.500 0.500
Pt 0.333 0.667 0.000
Pt 0.500 0.000 0.500
Pt 0.500 0.500 0.500
Pt 0.667 0.333 0.000

Main lines, by angle (2θ = 10–90°):
- d 4.764, I = 60.4
- d 2.382, I = 26.9
- d 2.332, I = 100.0
- d 2.199, I = 35.0
- d 2.095, I = 76.9
- d 1.616, I = 16.4
- d 1.494, I = 25.2
- d 1.375, I = 23.9
- d 1.294, I = 15.7
- d 1.166, I = 28.6

[8]
Structure and theoretical PXRD pattern of SrTl2Pt (a DFT-relaxed cell (GGA-PBE, the Materials Project); Cu Kα X-rays).

Atomic structure:
abc: 6.035 6.035 8.648
angles: 90.00 90.00 137.33
Atoms (fractional coordinates):
Sr 0.065 0.935 0.750
Sr 0.935 0.065 0.250
Tl 0.354 0.646 0.549
Tl 0.354 0.646 0.951
Tl 0.646 0.354 0.049
Tl 0.646 0.354 0.451
Pt 0.222 0.778 0.250
Pt 0.778 0.222 0.750

Main lines, by angle (2θ = 10–90°):
- d 5.621, I = 41.4
- d 2.971, I = 72.6
- d 2.850, I = 29.7
- d 2.707, I = 50.4
- d 2.565, I = 23.5
- d 2.380, I = 54.6
- d 2.356, I = 100.0
- d 2.195, I = 37.0
- d 1.606, I = 21.8
- d 1.508, I = 21.9

[9]
Structure and theoretical PXRD pattern of TaPt2 (a DFT-relaxed cell (GGA-PBE, the Materials Project); Cu Kα X-rays).

Atomic structure:
abc: 4.892 4.892 4.791
angles: 90.00 90.00 59.47
Atoms (fractional coordinates):
Ta 0.228 0.772 0.750
Ta 0.772 0.228 0.250
Pt 0.122 0.554 0.250
Pt 0.446 0.878 0.250
Pt 0.554 0.122 0.750
Pt 0.878 0.446 0.750

Main lines, by angle (2θ = 10–90°):
- d 2.427, I = 30.6
- d 2.395, I = 34.2
- d 2.178, I = 100.0
- d 2.165, I = 6.8
- d 1.705, I = 21.3
- d 1.416, I = 6.6
- d 1.348, I = 16.0
- d 1.337, I = 21.3
- d 1.223, I = 7.1
- d 1.219, I = 8.1

[10]
Structure and theoretical PXRD pattern of Ta3Pt (a DFT-relaxed cell (GGA-PBE, the Materials Project); Cu Kα X-rays).

Atomic structure:
abc: 4.618 4.618 4.618
angles: 60.00 60.00 60.00
Atoms (fractional coordinates):
Ta 0.000 0.000 0.000
Ta 0.250 0.250 0.250
Ta 0.750 0.750 0.750
Pt 0.500 0.500 0.500

Main lines, by angle (2θ = 10–90°):
- d 2.309, I = 100.0
- d 1.633, I = 17.4
- d 1.333, I = 35.5
- d 1.155, I = 11.5

[11]
Structure and theoretical PXRD pattern of Ta3Pt (a DFT-relaxed cell (GGA-PBE, the Materials Project); Cu Kα X-rays).

Atomic structure:
abc: 4.129 4.129 4.129
angles: 90.00 90.00 90.00
Atoms (fractional coordinates):
Ta 0.000 0.000 0.500
Ta 0.000 0.500 0.000
Ta 0.500 0.000 0.000
Pt 0.500 0.500 0.500

Main lines, by angle (2θ = 10–90°):
- d 2.384, I = 100.0
- d 2.064, I = 49.4
- d 1.460, I = 32.9
- d 1.245, I = 39.1
- d 1.192, I = 11.4

[12]
Structure and theoretical PXRD pattern of TaTe5Pt (a DFT-relaxed cell (GGA-PBE, the Materials Project); Cu Kα X-rays).

Atomic structure:
abc: 7.455 7.455 15.672
angles: 90.00 90.00 150.60
Atoms (fractional coordinates):
Ta 0.007 0.993 0.750
Ta 0.993 0.007 0.250
Te 0.100 0.900 0.584
Te 0.100 0.900 0.916
Te 0.343 0.657 0.250
Te 0.403 0.597 0.649
Te 0.403 0.597 0.851
Te 0.597 0.403 0.149
Te 0.597 0.403 0.351
Te 0.657 0.343 0.750
Te 0.900 0.100 0.084
Te 0.900 0.100 0.416
Pt 0.500 0.500 0.000
Pt 0.500 0.500 0.500

Main lines, by angle (2θ = 10–90°):
- d 7.211, I = 100.0
- d 2.997, I = 17.9
- d 2.921, I = 19.5
- d 2.875, I = 22.1
- d 2.780, I = 52.8
- d 2.653, I = 22.4
- d 2.201, I = 26.4
- d 2.126, I = 36.2
- d 2.049, I = 21.3
- d 1.891, I = 17.0